1.
The following is a simulated X-ray diffraction stick pattern of LaTbBiN. It was derived from DFT lattice parameters and positions (GGA-PBE), using a wavelength of 1.5418 Å.

Cell and atoms:
a = 4.7445 Å, b = 4.7445 Å, c = 9.2596 Å
α = 90.00°, β = 90.00°, γ = 90.00°
Sites, in units of the cell vectors:
La1 0.2500 0.7500 0.0000
La2 0.7500 0.2500 0.0000
Tb1 0.2500 0.2500 0.3274
Tb2 0.7500 0.7500 0.6726
Bi1 0.2500 0.2500 0.6876
Bi2 0.7500 0.7500 0.3124
N1 0.2500 0.2500 0.0921
N2 0.7500 0.7500 0.9079

Peak list (12 most intense, 10 to 80 degrees two-theta, in order of rising 2θ)
2θ (°), I_rel
26.57, 37.6
28.29, 85.2
28.93, 60.7
32.97, 100.0
37.93, 67.7
39.68, 19.9
48.39, 59.9
54.72, 23.5
56.78, 31.2
62.74, 18.7
63.08, 27.3
65.39, 28.5

=====

2.
The following is a simulated X-ray diffraction stick pattern of La2Tb4Bi3N2. It was derived from DFT lattice parameters and positions (GGA-PBE), using a wavelength of 1.5418 Å.

Cell and atoms:
a = 13.6154 Å, b = 13.6154 Å, c = 13.6154 Å
α = 159.85°, β = 159.85°, γ = 28.65°
Sites, in units of the cell vectors:
La1 0.1901 0.1901 0.0000
La2 0.8099 0.8099 0.0000
Tb1 0.0823 0.5823 0.5000
Tb2 0.4177 0.9177 0.5000
Tb3 0.5823 0.0823 0.5000
Tb4 0.9177 0.4177 0.5000
Bi1 0.3244 0.3244 0.0000
Bi2 0.5000 0.5000 0.0000
Bi3 0.6756 0.6756 0.0000
N1 0.0995 0.0995 0.0000
N2 0.9005 0.9005 0.0000

Peak list (12 most intense, 10 to 80 degrees two-theta, in order of rising 2θ)
2θ (°), I_rel
18.93, 14.6
27.04, 12.6
27.33, 27.2
29.78, 10.4
30.24, 11.2
33.51, 100.0
37.77, 46.0
41.05, 9.4
47.06, 11.3
54.48, 16.0
57.00, 14.5
65.50, 29.8

=====

Copy entry 1 word for word.
The following is a simulated X-ray diffraction stick pattern of LaTbBiN. It was derived from DFT lattice parameters and positions (GGA-PBE), using a wavelength of 1.5418 Å.

Cell and atoms:
a = 4.7445 Å, b = 4.7445 Å, c = 9.2596 Å
α = 90.00°, β = 90.00°, γ = 90.00°
Sites, in units of the cell vectors:
La1 0.2500 0.7500 0.0000
La2 0.7500 0.2500 0.0000
Tb1 0.2500 0.2500 0.3274
Tb2 0.7500 0.7500 0.6726
Bi1 0.2500 0.2500 0.6876
Bi2 0.7500 0.7500 0.3124
N1 0.2500 0.2500 0.0921
N2 0.7500 0.7500 0.9079

Peak list (12 most intense, 10 to 80 degrees two-theta, in order of rising 2θ)
2θ (°), I_rel
26.57, 37.6
28.29, 85.2
28.93, 60.7
32.97, 100.0
37.93, 67.7
39.68, 19.9
48.39, 59.9
54.72, 23.5
56.78, 31.2
62.74, 18.7
63.08, 27.3
65.39, 28.5